(1)
Sr2H6OsPt: computed powder diffractogram (Cu Kα), based on a DFT-relaxed cell (GGA-PBE, OQMD).

Structure:
```
data_Sr2H6OsPt
_symmetry_space_group_name_H-M 'P -3 1 c'
_symmetry_Int_Tables_number 163
_symmetry_space_group_name_Hall '-P 3 2c'
_cell_length_a 5.1863
_cell_length_b 5.1863
_cell_length_c 9.9747
_cell_angle_alpha 90.00
_cell_angle_beta 90.00
_cell_angle_gamma 120.00
loop_
_atom_site_label
_atom_site_type_symbol
_atom_site_fract_x
_atom_site_fract_y
_atom_site_fract_z
Sr1 Sr 0.3333 0.6667 0.0900
H1 H 0.1488 0.3014 0.8621
Os1 Os 0.0000 0.0000 0.2500
Pt1 Pt 0.3333 0.6667 0.7500
```

The 8 most intense peaks (10° ≤ 2θ ≤ 80°), sorted by position:
2θ (°)	I (rel.)	index
17.8	51.3	0 0 2
26.7	21.2	1 0 2
33.5	71.6	1 0 3
34.6	100.0	1 1 0
39.2	42.9	1 1 2
48.9	25.3	2 0 3
61.3	25.2	2 1 3
66.8	29.6	1 1 6



(2)
Cs2Er3S4: computed powder diffractogram (Cu Kα), based on a DFT-relaxed cell (GGA-PBE, OQMD).

Structure:
```
data_Cs2Er3S4
_symmetry_space_group_name_H-M 'F m m m'
_symmetry_Int_Tables_number 69
_symmetry_space_group_name_Hall '-F 2 2'
_cell_length_a 7.5229
_cell_length_b 11.0554
_cell_length_c 15.6804
_cell_angle_alpha 90.00
_cell_angle_beta 90.00
_cell_angle_gamma 90.00
loop_
_atom_site_label
_atom_site_type_symbol
_atom_site_fract_x
_atom_site_fract_y
_atom_site_fract_z
Cs1 Cs 0.0000 0.0000 0.1894
Er1 Er 0.0000 0.0000 0.5000
Er2 Er 0.2500 0.2500 0.0000
S1 S 0.0000 0.1835 0.3859
```

The 8 most intense peaks (10° ≤ 2θ ≤ 80°), sorted by position:
2θ (°)	I (rel.)	index
11.3	87.6	0 0 2
19.7	65.7	0 2 2
22.2	100.0	1 1 3
28.7	84.8	2 2 0
32.0	69.3	1 3 3
32.4	38.6	0 4 0
36.9	69.5	2 2 4
45.3	54.1	2 2 6



(3)
MgZnCoSn: computed powder diffractogram (Cu Kα), based on a DFT-relaxed cell (GGA-PBE, OQMD).

Structure:
```
data_MgZnCoSn
_symmetry_space_group_name_H-M 'F -4 3 m'
_symmetry_Int_Tables_number 216
_symmetry_space_group_name_Hall 'F -4 2 3'
_cell_length_a 6.3499
_cell_length_b 6.3499
_cell_length_c 6.3499
_cell_angle_alpha 90.00
_cell_angle_beta 90.00
_cell_angle_gamma 90.00
loop_
_atom_site_label
_atom_site_type_symbol
_atom_site_fract_x
_atom_site_fract_y
_atom_site_fract_z
Mg1 Mg 0.0000 0.0000 0.0000
Zn1 Zn 0.2500 0.2500 0.7500
Co1 Co 0.0000 0.0000 0.5000
Sn1 Sn 0.2500 0.2500 0.2500
```

The 8 most intense peaks (10° ≤ 2θ ≤ 80°), sorted by position:
2θ (°)	I (rel.)	index
24.3	11.8	1 1 1
28.1	17.8	2 0 0
40.2	100.0	2 2 0
47.5	6.2	3 1 1
49.7	5.3	2 2 2
58.1	16.5	4 0 0
65.8	7.3	4 2 0
73.0	33.1	4 2 2